VOsPb2O8: simulated XRD peak list (Cu Kα X-rays), based on DFT lattice parameters and positions (PBE+U).
No peak broadening, texture or thermal motion is included.

The 10 most intense peaks (15° ≤ 2θ ≤ 90°), in order of rising 2θ:
two_theta	Rel. int.	h k l
22.06	16	1 1 0
23.98	70	1 0 -1
24.13	61	1 0 1
33.12	100	1 2 0
34.19	18	0 0 2
34.37	18	2 0 0
48.27	23	1 2 -2
48.40	41	2 2 -1
48.54	17	2 2 1
64.08	18	1 4 -1

Crystal structure
Unit cell a=5.2184 b=6.3209 c=5.2446 alpha=90.00 beta=90.36 gamma=90.00
Space group P2/m (No. 10)
Symmetry-distinct sites (fractional):
V (0.0000, 0.0000, 0.0000) x1
Os (0.0000, 0.5000, 0.0000) x1
Pb (0.5000, 0.2450, 0.5000) x2
O (0.1697, 0.2534, 0.8376) x4
O (0.2412, 0.0000, 0.2479) x2
O (0.2426, 0.5000, 0.2513) x2